1.
# Li4VTe3O12
Calculated powder X-ray diffraction pattern, CuKα. Input: the GGA+U geometry in the Materials Project.

Structure:
Unit cell a=5.0523 b=5.2176 c=17.5916 alpha=89.36 beta=89.97 gamma=86.38
Positions (direct):
Li  0.0000  0.0000  0.0000
Li  0.9999  0.0006  0.5001
Li  0.4963  0.4953  0.2385
Li  0.4972  0.4957  0.7387
Li  0.4985  0.0009  0.0867
Li  0.4996  0.0010  0.5866
Li  0.9834  0.4746  0.3016
Li  0.9850  0.4768  0.8014
V  0.9968  0.9889  0.2041
V  0.9979  0.9899  0.7040
Te  0.0006  0.4981  0.1139
Te  0.0008  0.4991  0.6140
Te  0.4945  0.5037  0.4528
Te  0.4949  0.5036  0.9528
Te  0.4995  0.0080  0.3518
Te  0.5001  0.0081  0.8517
O  0.1888  0.3261  0.1994
O  0.1897  0.3271  0.6994
O  0.2033  0.8066  0.1220
O  0.2038  0.8075  0.6219
O  0.2182  0.3126  0.0400
O  0.2180  0.3139  0.5399
O  0.2572  0.8753  0.2756
O  0.2576  0.8753  0.7755
O  0.2776  0.8565  0.4299
O  0.2781  0.8567  0.9299
O  0.2933  0.3379  0.3623
O  0.2938  0.3380  0.8621
O  0.6975  0.6734  0.3608
O  0.6980  0.6735  0.8609
O  0.7106  0.1510  0.4335
O  0.7111  0.1512  0.9335
O  0.7319  0.1552  0.2779
O  0.7328  0.1554  0.7779
O  0.7805  0.6812  0.0388
O  0.7804  0.6823  0.5391
O  0.7913  0.1941  0.1254
O  0.7916  0.1950  0.6254
O  0.7944  0.6908  0.1962
O  0.7955  0.6916  0.6964

Top 10 peaks for 2θ from 10° to 90°, by angle:
19.72 deg, rel. 20
19.91 deg, rel. 21
20.19 deg, rel. 11
20.30 deg, rel. 100
31.26 deg, rel. 18
31.51 deg, rel. 19
32.50 deg, rel. 17
32.75 deg, rel. 15
34.45 deg, rel. 10
48.67 deg, rel. 11

2.
# Ba2MnNbO6
Calculated powder X-ray diffraction pattern, CuKα. Input: the GGA+U geometry in the Materials Project.

Structure:
Unit cell a=10.1141 b=10.1141 c=10.1141 alpha=132.37 beta=131.87 gamma=70.04
Positions (direct):
Ba  0.0000  0.2490  0.2490
Ba  0.0000  0.7510  0.7510
Ba  0.2506  0.0000  0.7506
Ba  0.2506  0.5000  0.2506
Ba  0.5000  0.2490  0.7490
Ba  0.5000  0.7510  0.2510
Ba  0.7494  0.0000  0.2494
Ba  0.7494  0.5000  0.7494
Mn  0.1252  0.3752  0.7500
Mn  0.3750  0.1250  0.2500
Mn  0.6250  0.8750  0.7500
Mn  0.8748  0.6248  0.2500
Nb  0.1258  0.8758  0.2500
Nb  0.3759  0.6259  0.7500
Nb  0.6241  0.3741  0.2500
Nb  0.8742  0.1242  0.7500
O  0.0086  0.7586  0.2500
O  0.1123  0.1215  0.9908
O  0.1261  0.6277  0.4985
O  0.1276  0.1322  0.5046
O  0.1276  0.6230  0.9954
O  0.2552  0.0052  0.2500
O  0.2587  0.5087  0.7500
O  0.3693  0.8785  0.4908
O  0.3708  0.3723  0.9985
O  0.3784  0.3840  0.5056
O  0.3784  0.8728  0.9944
O  0.4950  0.2450  0.2500
O  0.5050  0.7550  0.7500
O  0.6216  0.1272  0.0056
O  0.6216  0.6160  0.4944
O  0.6292  0.6277  0.0015
O  0.6307  0.1215  0.5092
O  0.7413  0.4913  0.2500
O  0.7448  0.9948  0.7500
O  0.8724  0.3770  0.0046
O  0.8724  0.8678  0.4954
O  0.8739  0.3723  0.5015
O  0.8877  0.8785  0.0092
O  0.9914  0.2414  0.7500

Top 10 peaks for 2θ from 10° to 90°, by angle:
30.59 deg, rel. 51
30.78 deg, rel. 100
37.86 deg, rel. 17
43.72 deg, rel. 16
43.91 deg, rel. 16
44.36 deg, rel. 16
54.43 deg, rel. 20
54.55 deg, rel. 20
54.84 deg, rel. 19
88.74 deg, rel. 11

3.
# Li9Mn2Co5O16
Calculated powder X-ray diffraction pattern, CuKα. Input: the GGA+U geometry in the Materials Project.

Structure:
Unit cell a=5.8902 b=6.6532 c=7.6929 alpha=90.28 beta=100.39 gamma=103.44
Positions (direct):
Li  0.0000  0.0000  0.0000
Li  0.0000  0.5000  0.5000
Li  0.1297  0.1325  0.3785
Li  0.2502  0.2587  0.7409
Li  0.3787  0.3762  0.1274
Li  0.5000  0.5000  0.5000
Li  0.6213  0.6238  0.8726
Li  0.7498  0.7413  0.2591
Li  0.8703  0.8675  0.6215
Mn  0.1216  0.6234  0.8717
Mn  0.8784  0.3766  0.1283
Co  0.2515  0.7449  0.2589
Co  0.3673  0.8692  0.6223
Co  0.5000  0.0000  0.0000
Co  0.6327  0.1308  0.3777
Co  0.7485  0.2551  0.7411
O  0.0556  0.3329  0.9384
O  0.0899  0.8196  0.4341
O  0.1691  0.4402  0.2977
O  0.1834  0.9135  0.8190
O  0.3019  0.5734  0.7008
O  0.3372  0.0569  0.1861
O  0.4121  0.6926  0.0587
O  0.4430  0.1819  0.5647
O  0.5570  0.8181  0.4353
O  0.5879  0.3074  0.9413
O  0.6628  0.9431  0.8139
O  0.6981  0.4266  0.2992
O  0.8166  0.0865  0.1810
O  0.8309  0.5598  0.7023
O  0.9101  0.1804  0.5659
O  0.9444  0.6671  0.0616

Top 10 peaks for 2θ from 10° to 90°, by angle:
18.28 deg, rel. 100
35.70 deg, rel. 14
35.94 deg, rel. 13
36.25 deg, rel. 13
43.09 deg, rel. 29
43.54 deg, rel. 28
43.90 deg, rel. 27
47.48 deg, rel. 9
62.73 deg, rel. 15
63.14 deg, rel. 15

4.
# Na2LiMnPCO7
Calculated powder X-ray diffraction pattern, CuKα. Input: the GGA+U geometry in the Materials Project.

Structure:
Unit cell a=6.7774 b=8.8692 c=10.2318 alpha=89.13 beta=89.95 gamma=89.91
Positions (direct):
Na  0.0000  0.0000  0.0000
Na  0.9999  0.0009  0.4977
Na  0.0011  0.5118  0.2465
Na  0.2457  0.3380  0.0012
Na  0.2523  0.3398  0.5023
Na  0.5025  0.0004  0.9995
Na  0.5016  0.5109  0.7488
Na  0.5023  0.5123  0.2463
Li  0.0249  0.5294  0.7389
Li  0.5223  0.9845  0.5070
Li  0.7441  0.1654  0.2499
Li  0.7560  0.1676  0.7475
Mn  0.2530  0.8976  0.2357
Mn  0.2558  0.8993  0.7330
Mn  0.7526  0.6179  0.0101
Mn  0.7562  0.6154  0.5126
P  0.2472  0.6644  0.9732
P  0.2586  0.6694  0.4771
P  0.7474  0.8532  0.2733
P  0.7575  0.8480  0.7689
C  0.2431  0.2030  0.7540
C  0.2528  0.1974  0.2570
C  0.7428  0.3003  0.4910
C  0.7527  0.3078  0.9868
O  0.0670  0.5723  0.0231
O  0.0732  0.5824  0.5282
O  0.2252  0.3483  0.7630
O  0.2350  0.6794  0.8203
O  0.2503  0.1358  0.1421
O  0.2504  0.1387  0.6413
O  0.2502  0.6815  0.3247
O  0.2511  0.8249  0.0313
O  0.2530  0.3421  0.2677
O  0.2548  0.1103  0.3608
O  0.2553  0.1181  0.8596
O  0.2698  0.8322  0.5308
O  0.4351  0.5722  0.0107
O  0.4406  0.5725  0.5182
O  0.5695  0.9493  0.2249
O  0.5734  0.9378  0.7193
O  0.7231  0.1594  0.4599
O  0.7347  0.8331  0.4254
O  0.7490  0.3417  0.6119
O  0.7495  0.8316  0.9208
O  0.7513  0.3452  0.1097
O  0.7512  0.6934  0.2125
O  0.7518  0.1675  0.9530
O  0.7550  0.4114  0.8951
O  0.7578  0.4017  0.3969
O  0.7691  0.6857  0.7129
O  0.9335  0.9482  0.2375
O  0.9375  0.9477  0.7294

Top 10 peaks for 2θ from 10° to 90°, by angle:
19.90 deg, rel. 20
20.17 deg, rel. 17
26.32 deg, rel. 100
33.22 deg, rel. 49
33.33 deg, rel. 40
34.82 deg, rel. 17
35.09 deg, rel. 45
37.79 deg, rel. 19
49.11 deg, rel. 32
54.13 deg, rel. 22

5.
# Cr3NiP4O16
Calculated powder X-ray diffraction pattern, CuKα. Input: the GGA+U geometry in the Materials Project.

Structure:
Unit cell a=4.7813 b=5.7714 c=9.9335 alpha=90.00 beta=90.28 gamma=90.00
Positions (direct):
Cr  0.0000  0.0000  0.0000
Cr  0.0551  0.5000  0.5425
Cr  0.5582  0.0000  0.5018
Ni  0.4919  0.5000  0.0436
P  0.1171  0.0000  0.6799
P  0.4378  0.0000  0.1769
P  0.6137  0.5000  0.3641
P  0.9540  0.5000  0.8645
O  0.2030  0.0000  0.8271
O  0.2646  0.2062  0.6008
O  0.2646  0.7938  0.6008
O  0.2690  0.5000  0.8755
O  0.2826  0.2034  0.1002
O  0.2826  0.7966  0.1002
O  0.2984  0.5000  0.3854
O  0.3652  0.0000  0.3261
O  0.6940  0.5000  0.2185
O  0.7537  0.0000  0.1578
O  0.7639  0.2941  0.4449
O  0.7639  0.7059  0.4449
O  0.8012  0.0000  0.6626
O  0.8130  0.2894  0.9415
O  0.8130  0.7106  0.9415
O  0.8590  0.5000  0.7172

Top 10 peaks for 2θ from 10° to 90°, by angle:
17.86 deg, rel. 70
20.61 deg, rel. 89
23.63 deg, rel. 29
25.80 deg, rel. 100
30.99 deg, rel. 75
36.42 deg, rel. 56
36.57 deg, rel. 58
37.51 deg, rel. 28
49.51 deg, rel. 21
58.78 deg, rel. 26

6.
# LiMnCr2O6
Calculated powder X-ray diffraction pattern, CuKα. Input: the GGA+U geometry in the Materials Project.

Structure:
Unit cell a=6.6105 b=6.6105 c=5.9826 alpha=103.09 beta=103.09 gamma=25.64
Positions (direct):
Li  0.0000  0.0000  0.0000
Mn  0.6710  0.6710  0.8192
Cr  0.0015  0.0015  0.4960
Cr  0.3264  0.3264  0.1779
O  0.1616  0.1616  0.6058
O  0.1714  0.1714  0.0393
O  0.4840  0.4840  0.2568
O  0.5169  0.5169  0.7346
O  0.8250  0.8250  0.9523
O  0.8410  0.8410  0.3865

Top 10 peaks for 2θ from 10° to 90°, by angle:
18.23 deg, rel. 100
35.54 deg, rel. 11
35.74 deg, rel. 22
36.95 deg, rel. 5
43.19 deg, rel. 36
43.29 deg, rel. 18
47.50 deg, rel. 5
56.90 deg, rel. 9
62.81 deg, rel. 18
63.41 deg, rel. 5

Question: What is the formula in the first record?
Answer: Li4VTe3O12